Ba2Na3Hg: calculated XRD peak list (Cu Kα, 1.54184 Å), based on a PBE-relaxed structure.
Peak positions follow from Bragg's law for the DFT cell and can differ from measured ones.

Largest 12 diffraction maxima, by angle, 2θ from 10° to 80°:
- 15.8°, rel. 15
- 18.0°, rel. 30
- 26.7°, rel. 47
- 27.1°, rel. 100
- 30.8°, rel. 43
- 31.2°, rel. 35
- 31.9°, rel. 27
- 38.9°, rel. 18
- 40.8°, rel. 14
- 42.1°, rel. 28
- 52.0°, rel. 20
- 53.9°, rel. 15

a = 4.4255 Å, b = 5.6159 Å, c = 10.1672 Å
α = 90.00°, β = 90.00°, γ = 90.00°
Element x y z (fractional)
Ba (0.0000, 0.0000, 0.0000)
Ba (0.0000, 0.5000, 0.4151)
Na (0.5000, 0.0000, 0.6089)
Na (0.5000, 0.5000, 0.1198)
Na (0.5000, 0.5000, 0.7844)
Hg (0.5000, 0.0000, 0.2850)

---

Ba3Na3Hg8: calculated XRD peak list (Cu Kα, 1.54184 Å), based on a PBE-relaxed structure.
Peak positions follow from Bragg's law for the DFT cell and can differ from measured ones.

Largest 12 diffraction maxima, by angle, 2θ from 10° to 80°:
- 11.0°, rel. 48
- 22.2°, rel. 32
- 27.9°, rel. 49
- 29.5°, rel. 98
- 30.7°, rel. 100
- 32.7°, rel. 21
- 33.5°, rel. 24
- 35.0°, rel. 53
- 38.2°, rel. 26
- 41.8°, rel. 26
- 45.3°, rel. 29
- 46.1°, rel. 24

a = 9.9570 Å, b = 9.9570 Å, c = 9.9570 Å
α = 150.14°, β = 115.47°, γ = 72.71°
Element x y z (fractional)
Ba (0.0000, 0.0000, 0.0000)
Ba (0.2812, 0.2812, 0.0000)
Ba (0.7188, 0.7188, 0.0000)
Na (0.3041, 0.5000, 0.8041)
Na (0.5000, 0.0000, 0.5000)
Na (0.6959, 0.5000, 0.1959)
Hg (0.0145, 0.6589, 0.3556)
Hg (0.1578, 0.8599, 0.2979)
Hg (0.3033, 0.6589, 0.6444)
Hg (0.4380, 0.1401, 0.2979)
Hg (0.5620, 0.8599, 0.7021)
Hg (0.6967, 0.3411, 0.3556)
Hg (0.8422, 0.1401, 0.7021)
Hg (0.9855, 0.3411, 0.6444)

---

Ba12NaHg5: calculated XRD peak list (Cu Kα, 1.54184 Å), based on a PBE-relaxed structure.
Peak positions follow from Bragg's law for the DFT cell and can differ from measured ones.

Largest 12 diffraction maxima, by angle, 2θ from 10° to 80°:
- 10.4°, rel. 32
- 10.8°, rel. 38
- 25.7°, rel. 45
- 27.0°, rel. 58
- 27.4°, rel. 98
- 28.3°, rel. 100
- 29.0°, rel. 24
- 31.3°, rel. 26
- 31.6°, rel. 35
- 32.0°, rel. 33
- 48.7°, rel. 42
- 57.1°, rel. 27

a = 10.4634 Å, b = 10.4634 Å, c = 10.4634 Å
α = 115.26°, β = 110.31°, γ = 103.07°
Element x y z (fractional)
Ba (0.0378, 0.2243, 0.8136)
Ba (0.1725, 0.2808, 0.4533)
Ba (0.1725, 0.7192, 0.8917)
Ba (0.3329, 0.0218, 0.6889)
Ba (0.3329, 0.6440, 0.3111)
Ba (0.4107, 0.2243, 0.1864)
Ba (0.5893, 0.7757, 0.8136)
Ba (0.6671, 0.3560, 0.6889)
Ba (0.6671, 0.9782, 0.3111)
Ba (0.8275, 0.2808, 0.1083)
Ba (0.8275, 0.7192, 0.5467)
Ba (0.9622, 0.7757, 0.1864)
Na (0.5000, 0.5000, 0.0000)
Hg (0.0000, 0.0000, 0.0000)
Hg (0.1271, 0.6271, 0.5000)
Hg (0.3400, 0.0000, 0.3400)
Hg (0.6600, 0.0000, 0.6600)
Hg (0.8729, 0.3729, 0.5000)

---

BaNa4Hg2: calculated XRD peak list (Cu Kα, 1.54184 Å), based on a PBE-relaxed structure.
Peak positions follow from Bragg's law for the DFT cell and can differ from measured ones.

Largest 12 diffraction maxima, by angle, 2θ from 10° to 80°:
- 18.5°, rel. 21
- 18.9°, rel. 28
- 26.5°, rel. 100
- 28.6°, rel. 37
- 29.3°, rel. 32
- 32.3°, rel. 41
- 36.0°, rel. 32
- 37.2°, rel. 21
- 37.5°, rel. 21
- 50.1°, rel. 24
- 52.9°, rel. 22
- 53.9°, rel. 20

a = 4.8298 Å, b = 20.3962 Å, c = 4.8010 Å
α = 90.00°, β = 90.00°, γ = 90.00°
Element x y z (fractional)
Ba (0.0000, 0.0000, 0.0000)
Ba (0.5000, 0.5000, 0.0000)
Na (0.0000, 0.1776, 0.5000)
Na (0.0000, 0.3225, 0.0000)
Na (0.0000, 0.6775, 0.0000)
Na (0.0000, 0.8224, 0.5000)
Na (0.5000, 0.1775, 0.0000)
Na (0.5000, 0.3224, 0.5000)
Na (0.5000, 0.6776, 0.5000)
Na (0.5000, 0.8225, 0.0000)
Hg (0.0000, 0.4242, 0.5000)
Hg (0.0000, 0.5758, 0.5000)
Hg (0.5000, 0.0758, 0.5000)
Hg (0.5000, 0.9242, 0.5000)

---

Ba3NaHg7: calculated XRD peak list (Cu Kα, 1.54184 Å), based on a PBE-relaxed structure.
Peak positions follow from Bragg's law for the DFT cell and can differ from measured ones.

Largest 12 diffraction maxima, by angle, 2θ from 10° to 80°:
- 20.1°, rel. 82
- 25.5°, rel. 35
- 27.7°, rel. 44
- 28.4°, rel. 30
- 29.4°, rel. 50
- 30.4°, rel. 100
- 31.5°, rel. 57
- 31.7°, rel. 57
- 33.9°, rel. 53
- 36.8°, rel. 40
- 40.1°, rel. 57
- 42.1°, rel. 61

a = 11.7138 Å, b = 11.7138 Å, c = 14.6460 Å
α = 90.00°, β = 90.00°, γ = 157.85°
Element x y z (fractional)
Ba (0.0981, 0.9019, 0.5501)
Ba (0.0981, 0.9019, 0.9499)
Ba (0.2497, 0.7503, 0.2500)
Ba (0.7503, 0.2497, 0.7500)
Ba (0.9019, 0.0981, 0.0501)
Ba (0.9019, 0.0981, 0.4499)
Na (0.0536, 0.9464, 0.2500)
Na (0.9464, 0.0536, 0.7500)
Hg (0.2884, 0.7116, 0.0253)
Hg (0.2884, 0.7116, 0.4747)
Hg (0.3570, 0.6430, 0.6487)
Hg (0.3570, 0.6430, 0.8513)
Hg (0.4087, 0.5913, 0.2500)
Hg (0.4854, 0.5146, 0.6089)
Hg (0.4854, 0.5146, 0.8911)
Hg (0.5146, 0.4854, 0.1089)
Hg (0.5146, 0.4854, 0.3911)
Hg (0.5913, 0.4087, 0.7500)
Hg (0.6430, 0.3570, 0.1487)
Hg (0.6430, 0.3570, 0.3513)
Hg (0.7116, 0.2884, 0.5253)
Hg (0.7116, 0.2884, 0.9747)

---

BaNa4Hg8: calculated XRD peak list (Cu Kα, 1.54184 Å), based on a PBE-relaxed structure.
Peak positions follow from Bragg's law for the DFT cell and can differ from measured ones.

Largest 12 diffraction maxima, by angle, 2θ from 10° to 80°:
- 17.0°, rel. 16
- 24.1°, rel. 32
- 26.9°, rel. 60
- 29.0°, rel. 43
- 32.0°, rel. 17
- 33.8°, rel. 100
- 34.4°, rel. 22
- 36.4°, rel. 36
- 38.1°, rel. 43
- 52.0°, rel. 30
- 60.1°, rel. 16
- 61.2°, rel. 31

a = 8.0891 Å, b = 8.0891 Å, c = 8.0891 Å
α = 99.69°, β = 99.69°, γ = 131.57°
Element x y z (fractional)
Ba (0.0000, 0.0000, 0.0000)
Na (0.0000, 0.0000, 0.5000)
Na (0.0000, 0.5000, 0.0000)
Na (0.5000, 0.0000, 0.0000)
Na (0.5000, 0.5000, 0.5000)
Hg (0.0000, 0.3496, 0.3496)
Hg (0.0000, 0.6504, 0.6504)
Hg (0.2860, 0.5000, 0.7860)
Hg (0.3496, 0.0000, 0.3496)
Hg (0.5000, 0.2860, 0.7860)
Hg (0.5000, 0.7140, 0.2140)
Hg (0.6504, 0.0000, 0.6504)
Hg (0.7140, 0.5000, 0.2140)

---

BaNa2Hg: calculated XRD peak list (Cu Kα, 1.54184 Å), based on a PBE-relaxed structure.
Peak positions follow from Bragg's law for the DFT cell and can differ from measured ones.

Largest 12 diffraction maxima, by angle, 2θ from 10° to 80°:
- 15.7°, rel. 23
- 19.4°, rel. 100
- 28.2°, rel. 82
- 32.4°, rel. 55
- 32.6°, rel. 78
- 38.2°, rel. 19
- 43.6°, rel. 25
- 46.6°, rel. 20
- 55.5°, rel. 25
- 58.1°, rel. 21
- 58.2°, rel. 19
- 59.5°, rel. 22

a = 5.4913 Å, b = 5.4913 Å, c = 16.9666 Å
α = 90.00°, β = 90.00°, γ = 120.00°
Element x y z (fractional)
Ba (0.0000, 0.0000, 0.0000)
Ba (0.3333, 0.6667, 0.6667)
Ba (0.6667, 0.3333, 0.3333)
Na (0.0000, 0.0000, 0.5175)
Na (0.0000, 0.0000, 0.7854)
Na (0.3333, 0.6667, 0.1842)
Na (0.3333, 0.6667, 0.4520)
Na (0.6667, 0.3333, 0.1187)
Na (0.6667, 0.3333, 0.8509)
Hg (0.0000, 0.0000, 0.2158)
Hg (0.3333, 0.6667, 0.8825)
Hg (0.6667, 0.3333, 0.5491)

---

Ba3Na7Hg4: calculated XRD peak list (Cu Kα, 1.54184 Å), based on a PBE-relaxed structure.
Peak positions follow from Bragg's law for the DFT cell and can differ from measured ones.

Largest 12 diffraction maxima, by angle, 2θ from 10° to 80°:
- 17.0°, rel. 100
- 22.0°, rel. 59
- 22.5°, rel. 39
- 22.8°, rel. 36
- 24.0°, rel. 34
- 24.7°, rel. 51
- 27.5°, rel. 44
- 28.0°, rel. 62
- 29.1°, rel. 44
- 29.5°, rel. 95
- 33.8°, rel. 81
- 36.5°, rel. 60

a = 9.9514 Å, b = 9.9514 Å, c = 12.6493 Å
α = 123.02°, β = 123.02°, γ = 28.61°
Element x y z (fractional)
Ba (0.0000, 0.0000, 0.0000)
Ba (0.3048, 0.3048, 0.2866)
Ba (0.6952, 0.6952, 0.7134)
Na (0.0000, 0.0000, 0.5000)
Na (0.1706, 0.1706, 0.4317)
Na (0.3234, 0.3234, 0.9933)
Na (0.4813, 0.4813, 0.7003)
Na (0.5187, 0.5187, 0.2997)
Na (0.6766, 0.6766, 0.0067)
Na (0.8294, 0.8294, 0.5683)
Hg (0.1075, 0.1075, 0.8119)
Hg (0.3400, 0.3400, 0.7524)
Hg (0.6600, 0.6600, 0.2476)
Hg (0.8925, 0.8925, 0.1881)